1.
For Ag2S, a structure optimized by DFT (GGA-PBE) gives the theoretical powder X-ray diffraction pattern in this record (a wavelength of 1.5418 Å).
Peak positions follow from Bragg's law for the DFT cell and can differ from measured ones.

Structural model:
```
Ag2S
1.0
3.811 -2.909 0.000
3.811 2.909 0.000
-1.486 0.000 5.925
Ag S
4 2
Cartesian
0.001 0.000 1.640
2.341 -0.805 0.086
3.796 -0.805 5.838
6.136 0.000 4.285
1.002 0.706 4.116
5.134 0.706 1.809
```

The 12 most intense peaks (5 to 70 degrees two-theta), in order of rising 2θ:
d 5.925, I 88
d 4.572, I 100
d 3.382, I 56
d 2.841, I 54
d 2.677, I 49
d 2.647, I 60
d 2.611, I 58
d 2.331, I 52
d 2.298, I 74
d 2.269, I 53
d 2.076, I 68
d 1.976, I 49

2.
For Ca2Ti2O5, a structure optimized by DFT (GGA-PBE) gives the theoretical powder X-ray diffraction pattern in this record (a wavelength of 1.5418 Å).
Peak positions follow from Bragg's law for the DFT cell and can differ from measured ones.

Structural model:
```
Ca2Ti2O5
1.0
5.334 0.000 0.000
0.000 10.635 0.000
0.000 0.000 3.947
Ca Ti O
4 4 10
Cartesian
1.274 1.228 0.000
1.393 6.545 0.000
3.941 4.090 0.000
4.060 9.407 0.000
1.216 3.952 1.974
1.451 9.270 1.974
3.883 1.365 1.974
4.118 6.683 1.974
0.000 0.000 1.974
0.556 7.570 1.974
1.129 4.111 0.000
1.538 9.428 0.000
2.111 2.253 1.974
2.667 5.317 1.974
3.223 8.382 1.974
3.796 1.206 0.000
4.205 6.524 0.000
4.778 3.065 1.974
```

The 12 most intense peaks (5 to 70 degrees two-theta), in order of rising 2θ:
d 3.766, I 8
d 2.952, I 7
d 2.725, I 100
d 2.667, I 41
d 2.659, I 38
d 2.207, I 7
d 1.974, I 33
d 1.883, I 40
d 1.586, I 28
d 1.551, I 21
d 1.547, I 22
d 1.362, I 23

3.
For Nd6MgRh, a structure optimized by DFT (GGA-PBE) gives the theoretical powder X-ray diffraction pattern in this record (a wavelength of 1.5418 Å).
Peak positions follow from Bragg's law for the DFT cell and can differ from measured ones.

Structural model:
```
Nd6MgRh
1.0
6.988 0.000 0.000
-3.490 6.066 0.000
-3.487 -2.021 6.643
Nd Mg Rh
6 1 1
Cartesian
-0.803 -0.029 1.620
-1.364 3.749 1.617
-2.175 1.693 5.025
2.186 2.352 1.619
1.375 0.297 5.026
0.814 4.075 5.024
3.494 0.000 0.000
0.005 2.023 3.322
```

The 12 most intense peaks (5 to 70 degrees two-theta), in order of rising 2θ:
d 5.797, I 20
d 3.848, I 9
d 3.498, I 10
d 3.322, I 24
d 3.095, I 100
d 2.899, I 10
d 2.410, I 34
d 2.021, I 12
d 1.871, I 23
d 1.726, I 8
d 1.660, I 8
d 1.592, I 9

4.
For Tm5TlSe4, a structure optimized by DFT (GGA-PBE) gives the theoretical powder X-ray diffraction pattern in this record (a wavelength of 1.5418 Å).
Peak positions follow from Bragg's law for the DFT cell and can differ from measured ones.

Structural model:
```
Tm5TlSe4
1.0
-4.585 4.585 2.895
4.585 -4.585 2.895
4.585 4.585 -2.895
Tm Tl Se
5 1 4
Cartesian
0.000 0.000 0.000
3.663 1.798 0.000
2.787 -0.923 2.895
1.798 5.508 0.000
0.923 2.787 2.895
0.000 0.000 2.895
6.406 0.921 0.000
0.921 2.764 0.000
3.665 1.821 2.895
-1.821 3.665 2.895
```

The 12 most intense peaks (5 to 70 degrees two-theta), in order of rising 2θ:
d 6.485, I 3
d 4.895, I 3
d 4.585, I 2
d 3.347, I 12
d 2.898, I 100
d 2.703, I 1
d 2.329, I 1
d 2.049, I 75
d 1.748, I 6
d 1.673, I 26
d 1.450, I 8
d 1.447, I 4

5.
For AcNpRh, a structure optimized by DFT (GGA-PBE) gives the theoretical powder X-ray diffraction pattern in this record (a wavelength of 1.5418 Å).
Peak positions follow from Bragg's law for the DFT cell and can differ from measured ones.

Structural model:
```
AcNpRh
1.0
0.000 6.413 7.700
3.259 0.000 7.700
3.259 6.413 0.000
Ac Np Rh
4 4 4
Cartesian
0.815 1.603 0.264
0.815 1.603 3.586
5.703 11.223 11.815
5.703 11.223 15.137
2.444 4.810 3.191
4.074 8.016 7.042
2.444 4.810 8.359
4.074 8.016 12.210
2.444 3.398 5.775
2.444 6.221 5.775
4.074 6.605 9.626
4.074 9.428 9.626
```

The 12 most intense peaks (5 to 70 degrees two-theta), in order of rising 2θ:
d 3.850, I 21
d 3.207, I 36
d 2.905, I 100
d 2.721, I 66
d 2.464, I 48
d 2.333, I 20
d 2.319, I 41
d 1.787, I 18
d 1.759, I 19
d 1.621, I 22
d 1.543, I 17
d 1.391, I 17

6.
For Ac2ZnGa2, a structure optimized by DFT (GGA-PBE) gives the theoretical powder X-ray diffraction pattern in this record (a wavelength of 1.5418 Å).
Peak positions follow from Bragg's law for the DFT cell and can differ from measured ones.

Structural model:
```
Ac2ZnGa2
1.0
5.673 -2.397 0.000
5.673 2.397 0.000
-5.640 0.000 10.029
Ac Zn Ga
4 2 4
Cartesian
-1.252 0.000 4.003
-1.155 0.000 8.382
6.862 0.000 1.647
6.959 0.000 6.026
3.460 0.000 1.530
2.247 0.000 8.499
-4.375 0.000 9.440
2.095 0.000 3.846
3.612 0.000 6.183
10.081 0.000 0.589
```

The 12 most intense peaks (5 to 70 degrees two-theta), in order of rising 2θ:
d 4.311, I 25
d 3.757, I 34
d 3.683, I 18
d 2.970, I 100
d 2.937, I 66
d 2.837, I 29
d 2.716, I 20
d 2.507, I 17
d 2.397, I 37
d 2.384, I 45
d 1.830, I 26
d 1.531, I 16

7.
For Be7PdAu12, a structure optimized by DFT (GGA-PBE) gives the theoretical powder X-ray diffraction pattern in this record (a wavelength of 1.5418 Å).
Peak positions follow from Bragg's law for the DFT cell and can differ from measured ones.

Structural model:
```
Be7PdAu12
1.0
7.214 4.165 1.711
-7.214 4.165 1.711
0.000 -8.330 1.711
Be Pd Au
7 1 12
Cartesian
0.000 0.000 0.000
-2.167 -0.703 1.722
1.692 -1.525 1.722
0.475 2.228 1.722
-0.475 -2.228 3.411
-1.692 1.525 3.411
2.167 0.703 3.411
0.000 0.000 2.566
-0.473 -2.307 0.860
-1.762 1.563 0.860
-2.788 -2.935 2.517
-3.936 0.947 2.616
2.234 0.744 0.860
1.148 -3.882 2.616
-1.148 3.882 2.517
-2.234 -0.744 4.273
3.936 -0.947 2.517
2.788 2.935 2.616
1.762 -1.563 4.273
0.473 2.307 4.273
```

The 10 most intense peaks (5 to 70 degrees two-theta), in order of rising 2θ:
d 7.214, I 1
d 3.475, I 1
d 2.872, I 100
d 2.503, I 1
d 2.083, I 1
d 2.062, I 42
d 2.001, I 38
d 1.711, I 7
d 1.642, I 19
d 1.436, I 13

8.
For Ag2MoBr6, a structure optimized by DFT (GGA-PBE) gives the theoretical powder X-ray diffraction pattern in this record (a wavelength of 1.5418 Å).
Peak positions follow from Bragg's law for the DFT cell and can differ from measured ones.

Structural model:
```
Ag2MoBr6
1.0
7.051 0.000 0.000
0.000 7.217 0.000
-6.404 0.000 10.797
Ag Mo Br
4 2 12
Cartesian
0.099 1.094 1.677
-3.102 2.515 7.075
3.749 4.703 3.722
0.547 6.123 9.120
3.525 0.000 0.000
0.323 3.609 5.398
-3.965 0.351 8.482
-0.763 3.258 3.083
-1.814 4.856 6.192
1.388 5.970 0.793
-0.649 1.414 6.196
2.552 2.194 0.797
-1.906 5.023 10.000
1.296 5.803 4.601
-0.741 1.247 10.003
2.461 2.361 4.605
1.410 3.960 7.713
4.611 6.867 2.315
```

The 12 most intense peaks (5 to 70 degrees two-theta), in order of rising 2θ:
d 6.000, I 100
d 3.285, I 91
d 3.163, I 37
d 3.055, I 34
d 2.993, I 44
d 2.727, I 50
d 2.667, I 29
d 2.423, I 31
d 2.276, I 45
d 2.022, I 33
d 1.852, I 25
d 1.764, I 33